Sc2TlZn3: computed PXRD pattern (λ = 1.5418 Å (Cu Kα)), based on a crystal structure in Alexandria, relaxed with GGA-PBE.
Peak positions follow from Bragg's law for the DFT cell and can differ from measured ones.

Top 12 peaks for 2θ = 10–80°, by angle:
2θ 19.7, d = 4.516 Å, intensity 131, (0 2 0); 2θ 22.7, d = 3.909 Å, intensity 223, (0 0 4); 2θ 24.0, d = 3.710 Å, intensity 336, (1 1 3); 2θ 27.4, d = 3.259 Å, intensity 383, (2 0 0); 2θ 35.9, d = 2.503 Å, intensity 948, (2 0 4); 2θ 39.9, d = 2.257 Å, intensity 1000, (0 4 0); 2θ 49.1, d = 1.855 Å, intensity 465, (2 4 0); 2θ 54.8, d = 1.676 Å, intensity 265, (2 4 4); 2θ 56.5, d = 1.629 Å, intensity 119, (4 0 0); 2θ 69.9, d = 1.346 Å, intensity 241, (2 2 10); 2θ 71.4, d = 1.321 Å, intensity 339, (4 4 0); 2θ 72.5, d = 1.303 Å, intensity 160, (0 6 6)

Atomic structure:
Cell lengths 6.518, 9.033, 15.627 Å; angles 90.00, 90.00, 90.00 degrees
Space group Fmmm (No. 69)
Asymmetric unit:
Sc: 0.245 0.000 0.000 [8 per cell]
Sc: 0.250 0.250 0.250 [8 per cell]
Tl: 0.000 0.000 0.334 [8 per cell]
Zn: 0.000 0.000 0.160 [8 per cell]
Zn: 0.000 0.241 0.080 [16 per cell]

CsSrF3: computed PXRD pattern (λ = 1.5418 Å (Cu Kα)), based on a crystal structure in Alexandria, relaxed with GGA-PBE.
Peak positions follow from Bragg's law for the DFT cell and can differ from measured ones.

Top 12 peaks for 2θ = 10–80°, by angle:
2θ 24.6, d = 3.616 Å, intensity 476, (1 0 1); 2θ 25.2, d = 3.528 Å, intensity 1000, (0 1 2); 2θ 28.4, d = 3.140 Å, intensity 793, (0 2 0); 2θ 28.5, d = 3.134 Å, intensity 404, (1 1 1); 2θ 30.7, d = 2.914 Å, intensity 179, (1 0 -2); 2θ 37.9, d = 2.373 Å, intensity 623, (1 2 1); 2θ 38.9, d = 2.315 Å, intensity 208, (1 0 -3); 2θ 41.6, d = 2.172 Å, intensity 178, (1 1 3); 2θ 42.4, d = 2.131 Å, intensity 217, (0 0 4); 2θ 45.4, d = 1.997 Å, intensity 199, (2 0 0); 2θ 48.9, d = 1.864 Å, intensity 377, (1 2 -3); 2θ 52.7, d = 1.738 Å, intensity 267, (2 1 2)

Atomic structure:
Cell lengths 3.993, 6.290, 8.523 Å; angles 90.00, 90.04, 90.00 degrees
Space group P2_1/m (No. 11)
Asymmetric unit:
Cs: 0.249 0.250 0.372 [2 per cell]
Sr: 0.250 0.750 0.101 [2 per cell]
F: 0.250 0.005 0.875 [4 per cell]
F: 0.250 0.750 0.384 [2 per cell]

CrH12IN4Cl2: computed PXRD pattern (λ = 1.5418 Å (Cu Kα)), based on a crystal structure in Alexandria, relaxed with GGA-PBE.
Peak positions follow from Bragg's law for the DFT cell and can differ from measured ones.

Top 12 peaks for 2θ = 10–80°, by angle:
2θ 16.8, d = 5.265 Å, intensity 1000, (1 1 -1); 2θ 20.1, d = 4.412 Å, intensity 169, (2 0 0); 2θ 21.5, d = 4.131 Å, intensity 366, (0 2 0); 2θ 22.0, d = 4.036 Å, intensity 951, (1 1 1); 2θ 26.3, d = 3.387 Å, intensity 247, (1 1 -2); 2θ 29.1, d = 3.073 Å, intensity 296, (2 2 -1); 2θ 30.1, d = 2.968 Å, intensity 206, (3 1 -1); 2θ 34.0, d = 2.638 Å, intensity 313, (0 2 2); 2θ 38.0, d = 2.366 Å, intensity 299, (1 3 1); 2θ 39.2, d = 2.299 Å, intensity 192, (4 0 -2); 2θ 41.1, d = 2.195 Å, intensity 196, (3 1 -3); 2θ 44.9, d = 2.018 Å, intensity 165, (2 2 2)

Atomic structure:
Cell lengths 9.553, 8.262, 7.428 Å; angles 90.00, 112.53, 90.00 degrees
Space group C2/m (No. 12)
Asymmetric unit:
Cr: 0.000 0.000 0.000 [2 per cell]
H: 0.061 0.232 0.274 [8 per cell]
H: 0.156 0.274 0.135 [8 per cell]
H: 0.220 0.135 0.301 [8 per cell]
I: 0.000 0.500 0.500 [2 per cell]
N: 0.120 0.181 0.199 [8 per cell]
Cl: 0.186 0.000 0.869 [4 per cell]

Pu6Pt5: computed PXRD pattern (λ = 1.5418 Å (Cu Kα)), based on a crystal structure in Alexandria, relaxed with GGA-PBE.
Peak positions follow from Bragg's law for the DFT cell and can differ from measured ones.

Top 12 peaks for 2θ = 10–80°, by angle:
2θ 14.0, d = 6.324 Å, intensity 26, (0 1 1); 2θ 22.0, d = 4.035 Å, intensity 18, (0 1 3); 2θ 25.5, d = 3.495 Å, intensity 52, (1 0 3); 2θ 36.3, d = 2.472 Å, intensity 1000, (1 2 3); 2θ 36.4, d = 2.467 Å, intensity 200, (2 0 0); 2θ 52.4, d = 1.747 Å, intensity 215, (0 4 0); 2θ 59.1, d = 1.563 Å, intensity 20, (1 0 9); 2θ 65.4, d = 1.428 Å, intensity 221, (0 4 6); 2θ 65.5, d = 1.425 Å, intensity 224, (3 2 3); 2θ 77.1, d = 1.237 Å, intensity 23, (0 0 12); 2θ 77.2, d = 1.236 Å, intensity 93, (2 4 6); 2θ 77.4, d = 1.234 Å, intensity 24, (4 0 0)

Atomic structure:
Cell lengths 4.934, 6.990, 14.848 Å; angles 90.00, 90.00, 90.00 degrees
Space group Immm (No. 71)
Asymmetric unit:
Pu: 0.000 0.245 0.000 [4 per cell]
Pu: 0.000 0.252 0.332 [8 per cell]
Pt: 0.000 0.000 0.169 [4 per cell]
Pt: 0.000 0.500 0.160 [4 per cell]
Pt: 0.000 0.500 0.500 [2 per cell]